CaTl2Cu: calculated XRD peak list (CuKα), based on a cell relaxed with GGA-PBE.

Most intense lines, 2θ from 10° to 90°, by angle:
18.2 deg, rel. 31, hkl 0 0 2
18.4 deg, rel. 15, hkl 0 1 1
28.7 deg, rel. 29, hkl 1 1 0
31.9 deg, rel. 15, hkl 0 1 3
32.4 deg, rel. 34, hkl 0 2 0
34.2 deg, rel. 100, hkl 1 1 2
36.5 deg, rel. 16, hkl 1 0 3
49.5 deg, rel. 13, hkl 0 1 5
49.6 deg, rel. 13, hkl 1 2 3
58.9 deg, rel. 21, hkl 1 3 2

Cell and atoms:
Cell: 3.759 5.529 9.771 Å, 90.00 90.00 90.00°
Space group Immm (No. 71)
Unique sites:
Ca 0.000 0.000 0.000 [2 per cell]
Tl 0.000 0.500 0.213 [4 per cell]
Cu 0.000 0.000 0.500 [2 per cell]